Starting from a crystal structure in Alexandria, relaxed with PBE, the PXRD pattern of Tm4Ga2Sb was calculated for CuKα.
Peak positions follow from Bragg's law for the DFT cell and can differ from measured ones.

Atomic structure:
```
data_Tm4Ga2Sb
_chemical_formula_sum 'Tm16 Ga8 Sb4'
_space_group_name_H-M_alt 'I -4 2 d'
_space_group_IT_number 122
_space_group_name_Hall 'I -4 2bw'
_cell_length_a 8.927
_cell_length_b 8.927
_cell_length_c 8.881
_cell_angle_alpha 90.00
_cell_angle_beta 90.00
_cell_angle_gamma 90.00
loop_
_atom_site_label
_atom_site_fract_x
_atom_site_fract_y
_atom_site_fract_z
Tm1 0.072 0.175 0.312
Ga1 0.127 0.250 0.625
Sb1 0.000 0.000 0.000
```

Main lines, in order of falling intensity (10° ≤ 2θ ≤ 90°):
two_theta	d/Å	I_rel
31.7	2.822	100
37.7	2.384	83
31.8	2.810	56
52.4	1.746	27
64.4	1.447	25
37.8	2.378	22
24.5	3.639	21
50.1	1.821	19
28.3	3.149	18
52.3	1.750	18